Starting from a GGA-PBE-relaxed structure, the powder diffraction line list of AcCeGa2Rh2 was computed for Cu Kα (λ = 1.5418 Å).

Main lines, by angle (2θ = 10–90°):
22.90°, d 3.884, intensity 14.5
25.75°, d 3.460, intensity 12.5
32.94°, d 2.719, intensity 100.0
40.22°, d 2.242, intensity 55.5
52.93°, d 1.730, intensity 26.2
53.61°, d 1.710, intensity 7.2
54.61°, d 1.681, intensity 9.2
64.17°, d 1.451, intensity 16.6
68.51°, d 1.370, intensity 24.1
73.10°, d 1.295, intensity 9.4

Atomic structure:
Lattice parameters (Å, degrees): 4.485 4.485 7.616 90.00 90.00 120.00
Fractional coordinates of all 6 atoms:
1 Ac 0.000 0.000 0.000
2 Ce 0.000 0.000 0.500
3 Ga 0.333 0.667 0.281
4 Ga 0.667 0.333 0.719
5 Rh 0.333 0.667 0.705
6 Rh 0.667 0.333 0.295

---

Starting from a GGA-PBE-relaxed structure, the powder diffraction line list of AcCeSmGa was computed for Cu Kα (λ = 1.5418 Å).

Main lines, by angle (2θ = 10–90°):
19.71°, d 4.504, intensity 14.0
32.46°, d 2.758, intensity 100.0
38.26°, d 2.352, intensity 8.3
46.57°, d 1.950, intensity 18.5
51.03°, d 1.790, intensity 3.8
57.91°, d 1.592, intensity 38.7
61.79°, d 1.501, intensity 2.9
67.97°, d 1.379, intensity 12.0
77.36°, d 1.234, intensity 16.6
86.41°, d 1.126, intensity 4.3

Atomic structure:
Lattice parameters (Å, degrees): 5.516 5.516 5.516 60.00 60.00 60.00
Fractional coordinates of all 4 atoms:
1 Ac 0.000 0.000 0.000
2 Ce 0.250 0.250 0.250
3 Sm 0.750 0.750 0.750
4 Ga 0.500 0.500 0.500

---

Starting from a GGA-PBE-relaxed structure, the powder diffraction line list of AcCeGe was computed for Cu Kα (λ = 1.5418 Å).

Main lines, by angle (2θ = 10–90°):
22.21°, d 4.002, intensity 23.3
28.36°, d 3.147, intensity 69.0
29.90°, d 2.988, intensity 100.0
30.40°, d 2.941, intensity 34.2
34.81°, d 2.577, intensity 57.9
36.52°, d 2.460, intensity 24.3
40.15°, d 2.246, intensity 55.6
49.89°, d 1.828, intensity 30.2
50.37°, d 1.811, intensity 22.2
51.18°, d 1.785, intensity 32.6

Atomic structure:
Lattice parameters (Å, degrees): 4.491 4.491 8.822 90.00 90.00 90.00
Fractional coordinates of all 6 atoms:
1 Ac 0.250 0.250 0.141
2 Ac 0.750 0.750 0.859
3 Ce 0.250 0.750 0.500
4 Ce 0.750 0.250 0.500
5 Ge 0.250 0.250 0.749
6 Ge 0.750 0.750 0.251

---

What did the third record say?
Starting from a GGA-PBE-relaxed structure, the powder diffraction line list of AcCeGe was computed for Cu Kα (λ = 1.5418 Å).

Main lines, by angle (2θ = 10–90°):
22.21°, d 4.002, intensity 23.3
28.36°, d 3.147, intensity 69.0
29.90°, d 2.988, intensity 100.0
30.40°, d 2.941, intensity 34.2
34.81°, d 2.577, intensity 57.9
36.52°, d 2.460, intensity 24.3
40.15°, d 2.246, intensity 55.6
49.89°, d 1.828, intensity 30.2
50.37°, d 1.811, intensity 22.2
51.18°, d 1.785, intensity 32.6

Atomic structure:
Lattice parameters (Å, degrees): 4.491 4.491 8.822 90.00 90.00 90.00
Fractional coordinates of all 6 atoms:
1 Ac 0.250 0.250 0.141
2 Ac 0.750 0.750 0.859
3 Ce 0.250 0.750 0.500
4 Ce 0.750 0.250 0.500
5 Ge 0.250 0.250 0.749
6 Ge 0.750 0.750 0.251